[1]
Structure and computed XRD peak list of Ta2Ga2PdPt (a cell relaxed with GGA-PBE; λ = 1.5418 Å (Cu Kα)).

Most intense lines, 15 to 90 degrees two-theta, in order of rising 2θ:
20.80 deg, 4.271 Å, I = 1
24.44 deg, 3.643 Å, I = 1
25.54 deg, 3.487 Å, I = 52
29.58 deg, 3.020 Å, I = 8
42.32 deg, 2.136 Å, I = 100
50.08 deg, 1.821 Å, I = 26
52.48 deg, 1.744 Å, I = 2
61.39 deg, 1.510 Å, I = 17
67.60 deg, 1.386 Å, I = 11
69.61 deg, 1.351 Å, I = 3
77.40 deg, 1.233 Å, I = 34
83.08 deg, 1.162 Å, I = 8

Cell and atoms:
```
Ta2Ga2PdPt
1.0
7.398 0.000 0.000
0.000 4.271 0.000
-2.465 0.000 13.950
Ta Ga Pd Pt
8 8 4 4
Direct
0.000 0.000 0.000
0.000 0.500 0.500
0.249 0.500 0.250
0.250 0.000 0.750
0.499 0.500 0.000
0.500 0.000 0.500
0.750 0.000 0.250
0.750 0.500 0.750
0.121 0.500 0.874
0.125 0.000 0.375
0.375 0.500 0.627
0.378 0.000 0.126
0.624 0.500 0.374
0.627 0.000 0.874
0.871 0.500 0.124
0.875 0.000 0.627
0.062 0.500 0.688
0.562 0.000 0.688
0.562 0.500 0.187
0.812 0.500 0.937
0.062 0.000 0.187
0.312 0.000 0.937
0.312 0.500 0.438
0.812 0.000 0.438
```



[2]
Structure and computed XRD peak list of Sm2Nb2Cl2O7 (a cell relaxed with GGA-PBE; λ = 1.5418 Å (Cu Kα)).

Most intense lines, 15 to 90 degrees two-theta, in order of rising 2θ:
23.64 deg, 3.764 Å, I = 49
26.12 deg, 3.411 Å, I = 33
28.86 deg, 3.093 Å, I = 40
29.40 deg, 3.038 Å, I = 69
29.86 deg, 2.992 Å, I = 100
34.14 deg, 2.626 Å, I = 28
34.92 deg, 2.569 Å, I = 55
42.86 deg, 2.110 Å, I = 27
46.33 deg, 1.960 Å, I = 33
48.09 deg, 1.892 Å, I = 28
48.93 deg, 1.862 Å, I = 26
59.04 deg, 1.565 Å, I = 22

Cell and atoms:
```
Sm2Nb2Cl2O7
1.0
7.613 -1.960 0.000
7.613 1.960 0.000
-2.835 0.000 6.330
Sm Nb Cl O
2 2 2 7
Direct
0.193 0.193 0.166
0.807 0.807 0.834
0.466 0.466 0.202
0.534 0.534 0.798
0.179 0.179 0.565
0.821 0.821 0.435
0.047 0.047 0.845
0.322 0.322 0.062
0.416 0.416 0.841
0.500 0.500 0.500
0.584 0.584 0.159
0.678 0.678 0.938
0.953 0.953 0.155
```



[3]
Structure and computed XRD peak list of AcSb2Ir2 (a cell relaxed with GGA-PBE; λ = 1.5418 Å (Cu Kα)).

Most intense lines, 15 to 90 degrees two-theta, in order of rising 2θ:
27.13 deg, 3.287 Å, I = 13
31.83 deg, 2.811 Å, I = 70
32.05 deg, 2.793 Å, I = 100
38.74 deg, 2.324 Å, I = 76
43.91 deg, 2.062 Å, I = 24
47.15 deg, 1.927 Å, I = 23
50.98 deg, 1.791 Å, I = 38
55.95 deg, 1.643 Å, I = 26
59.44 deg, 1.555 Å, I = 17
62.61 deg, 1.484 Å, I = 20
65.95 deg, 1.416 Å, I = 26
84.16 deg, 1.150 Å, I = 16

Cell and atoms:
```
AcSb2Ir2
1.0
4.648 0.000 0.000
0.000 4.648 0.000
0.000 0.000 10.590
Ac Sb Ir
2 4 4
Direct
0.250 0.250 0.246
0.750 0.750 0.754
0.250 0.250 0.869
0.250 0.750 0.500
0.750 0.250 0.500
0.750 0.750 0.131
0.250 0.250 0.621
0.250 0.750 0.000
0.750 0.250 0.000
0.750 0.750 0.379
```



[4]
Structure and computed XRD peak list of GdYC5 (a cell relaxed with GGA-PBE; λ = 1.5418 Å (Cu Kα)).

Most intense lines, 15 to 90 degrees two-theta, in order of rising 2θ:
23.51 deg, 3.784 Å, I = 43
26.59 deg, 3.353 Å, I = 45
26.75 deg, 3.333 Å, I = 43
30.22 deg, 2.957 Å, I = 92
35.91 deg, 2.501 Å, I = 76
38.07 deg, 2.364 Å, I = 35
40.79 deg, 2.212 Å, I = 100
46.03 deg, 1.972 Å, I = 24
49.08 deg, 1.856 Å, I = 22
53.99 deg, 1.698 Å, I = 27
60.48 deg, 1.531 Å, I = 22
64.15 deg, 1.452 Å, I = 22

Cell and atoms:
```
GdYC5
1.0
3.333 0.000 0.000
0.000 3.944 0.000
0.000 0.000 13.410
Gd Y C
2 2 10
Direct
0.000 0.000 0.000
0.000 0.500 0.500
0.000 0.000 0.693
0.000 0.500 0.193
0.500 0.000 0.148
0.500 0.000 0.249
0.500 0.000 0.348
0.500 0.000 0.448
0.500 0.000 0.549
0.500 0.500 0.049
0.500 0.500 0.648
0.500 0.500 0.749
0.500 0.500 0.848
0.500 0.500 0.948
```



[5]
Structure and computed XRD peak list of Nb3CuCN (a cell relaxed with GGA-PBE; λ = 1.5418 Å (Cu Kα)).

Most intense lines, 15 to 90 degrees two-theta, in order of rising 2θ:
33.10 deg, 2.706 Å, I = 30
36.00 deg, 2.495 Å, I = 8
38.38 deg, 2.345 Å, I = 100
39.62 deg, 2.275 Å, I = 21
41.27 deg, 2.187 Å, I = 33
52.29 deg, 1.749 Å, I = 5
56.59 deg, 1.626 Å, I = 15
58.41 deg, 1.580 Å, I = 29
71.06 deg, 1.327 Å, I = 11
72.08 deg, 1.310 Å, I = 14
72.89 deg, 1.298 Å, I = 20
74.01 deg, 1.281 Å, I = 5

Cell and atoms:
```
Nb3CuCN
1.0
3.160 0.000 0.000
-1.580 2.737 0.000
0.000 0.000 18.200
Nb Cu C N
6 2 2 2
Direct
0.000 0.000 0.000
0.000 0.000 0.500
0.333 0.667 0.137
0.333 0.667 0.363
0.667 0.333 0.637
0.667 0.333 0.863
0.000 0.000 0.249
0.000 0.000 0.751
0.333 0.667 0.575
0.667 0.333 0.425
0.333 0.667 0.929
0.667 0.333 0.071
```



[6]
Structure and computed XRD peak list of TlHg3Te4Pt (a cell relaxed with GGA-PBE; λ = 1.5418 Å (Cu Kα)).

Most intense lines, 15 to 90 degrees two-theta, in order of rising 2θ:
18.38 deg, 4.828 Å, I = 10
22.56 deg, 3.942 Å, I = 68
26.10 deg, 3.414 Å, I = 14
37.25 deg, 2.414 Å, I = 100
43.99 deg, 2.059 Å, I = 35
53.70 deg, 1.707 Å, I = 17
58.97 deg, 1.566 Å, I = 14
60.66 deg, 1.527 Å, I = 7
67.17 deg, 1.394 Å, I = 34
71.85 deg, 1.314 Å, I = 10
79.40 deg, 1.207 Å, I = 11
83.83 deg, 1.154 Å, I = 10

Cell and atoms:
```
TlHg3Te4Pt
1.0
6.827 0.000 0.000
0.000 6.827 0.000
0.000 0.000 6.827
Tl Hg Te Pt
1 3 4 1
Direct
0.000 0.000 0.000
0.000 0.500 0.500
0.500 0.000 0.500
0.500 0.500 0.000
0.266 0.266 0.266
0.266 0.734 0.734
0.734 0.266 0.734
0.734 0.734 0.266
0.500 0.500 0.500
```



[7]
Structure and computed XRD peak list of ReB4Ir (a cell relaxed with GGA-PBE; λ = 1.5418 Å (Cu Kα)).

Most intense lines, 15 to 90 degrees two-theta, in order of rising 2θ:
25.84 deg, 3.448 Å, I = 50
34.63 deg, 2.590 Å, I = 80
43.71 deg, 2.071 Å, I = 100
53.12 deg, 1.724 Å, I = 10
62.06 deg, 1.495 Å, I = 19
64.98 deg, 1.435 Å, I = 27
68.37 deg, 1.372 Å, I = 22
73.06 deg, 1.295 Å, I = 10
78.97 deg, 1.212 Å, I = 18
84.24 deg, 1.149 Å, I = 2
86.06 deg, 1.130 Å, I = 16

Cell and atoms:
```
ReB4Ir
1.0
2.991 0.000 0.000
-1.495 2.590 0.000
0.000 0.000 6.897
Re B Ir
1 4 1
Direct
0.000 0.000 0.000
0.333 0.667 0.245
0.333 0.667 0.755
0.667 0.333 0.245
0.667 0.333 0.755
0.000 0.000 0.500
```



[8]
Structure and computed XRD peak list of ZnCdTeO (a cell relaxed with GGA-PBE; λ = 1.5418 Å (Cu Kα)).

Most intense lines, 15 to 90 degrees two-theta, in order of rising 2θ:
21.69 deg, 4.097 Å, I = 100
26.81 deg, 3.325 Å, I = 94
27.10 deg, 3.290 Å, I = 66
29.16 deg, 3.063 Å, I = 61
31.86 deg, 2.809 Å, I = 45
35.34 deg, 2.539 Å, I = 34
35.59 deg, 2.522 Å, I = 41
36.05 deg, 2.492 Å, I = 44
39.15 deg, 2.301 Å, I = 62
39.26 deg, 2.295 Å, I = 72
39.41 deg, 2.286 Å, I = 44
52.58 deg, 1.741 Å, I = 45

Cell and atoms:
```
ZnCdTeO
1.0
6.003 0.000 0.000
0.000 7.867 0.000
0.000 0.000 7.988
Zn Cd Te O
4 4 4 4
Direct
0.059 0.176 0.045
0.441 0.824 0.545
0.559 0.324 0.955
0.941 0.676 0.455
0.074 0.579 0.889
0.426 0.421 0.389
0.574 0.921 0.111
0.926 0.079 0.611
0.241 0.903 0.839
0.259 0.097 0.339
0.741 0.597 0.161
0.759 0.403 0.661
0.248 0.353 0.963
0.252 0.647 0.463
0.748 0.147 0.037
0.752 0.853 0.537
```



[9]
Structure and computed XRD peak list of Dy2Tm3Lu2Ni2Te2 (a cell relaxed with GGA-PBE; λ = 1.5418 Å (Cu Kα)).

Most intense lines, 15 to 90 degrees two-theta, in order of rising 2θ:
25.22 deg, 3.531 Å, I = 16
29.23 deg, 3.056 Å, I = 24
30.54 deg, 2.928 Å, I = 23
30.67 deg, 2.915 Å, I = 53
33.26 deg, 2.693 Å, I = 81
34.48 deg, 2.601 Å, I = 100
34.94 deg, 2.568 Å, I = 73
36.95 deg, 2.433 Å, I = 24
38.82 deg, 2.320 Å, I = 19
47.82 deg, 1.902 Å, I = 30
51.76 deg, 1.766 Å, I = 28
59.49 deg, 1.554 Å, I = 38

Cell and atoms:
```
Dy2Tm3Lu2Ni2Te2
1.0
-1.902 7.694 4.747
1.902 -7.694 4.747
1.902 7.694 -4.747
Dy Tm Lu Ni Te
2 3 2 2 2
Direct
0.134 0.000 0.134
0.866 0.000 0.866
0.517 0.202 0.315
0.580 0.580 0.000
0.888 0.202 0.685
0.207 0.854 0.354
0.500 0.854 0.646
0.276 0.510 0.766
0.743 0.510 0.234
0.246 0.246 0.000
0.844 0.344 0.500
```



[10]
Structure and computed XRD peak list of RbDy2CuTe3Se (a cell relaxed with GGA-PBE; λ = 1.5418 Å (Cu Kα)).

Most intense lines, 15 to 90 degrees two-theta, in order of rising 2θ:
21.24 deg, 4.183 Å, I = 30
26.43 deg, 3.372 Å, I = 70
27.18 deg, 3.281 Å, I = 49
27.83 deg, 3.206 Å, I = 100
29.70 deg, 3.008 Å, I = 95
32.00 deg, 2.797 Å, I = 51
36.80 deg, 2.442 Å, I = 36
40.11 deg, 2.248 Å, I = 30
40.63 deg, 2.220 Å, I = 92
41.72 deg, 2.165 Å, I = 49
43.26 deg, 2.091 Å, I = 24
69.74 deg, 1.348 Å, I = 25

Cell and atoms:
```
RbDy2CuTe3Se
1.0
2.165 -7.540 0.000
2.165 7.540 0.000
0.000 0.000 15.083
Rb Dy Cu Te Se
2 4 2 6 2
Direct
0.097 0.903 0.750
0.903 0.097 0.250
0.365 0.635 0.572
0.365 0.635 0.928
0.635 0.365 0.072
0.635 0.365 0.428
0.159 0.841 0.250
0.841 0.159 0.750
0.000 0.000 0.000
0.000 0.000 0.500
0.270 0.730 0.113
0.270 0.730 0.387
0.730 0.270 0.613
0.730 0.270 0.887
0.426 0.574 0.750
0.574 0.426 0.250
```



[11]
Structure and computed XRD peak list of PrDyGa4Ir2 (a cell relaxed with GGA-PBE; λ = 1.5418 Å (Cu Kα)).

Most intense lines, 15 to 90 degrees two-theta, in order of rising 2θ:
16.99 deg, 5.219 Å, I = 30
24.97 deg, 3.567 Å, I = 44
34.02 deg, 2.635 Å, I = 100
35.62 deg, 2.521 Å, I = 66
35.88 deg, 2.503 Å, I = 66
36.67 deg, 2.451 Å, I = 71
42.02 deg, 2.150 Å, I = 17
42.90 deg, 2.108 Å, I = 64
44.60 deg, 2.032 Å, I = 37
51.23 deg, 1.783 Å, I = 34
57.43 deg, 1.605 Å, I = 20
57.92 deg, 1.592 Å, I = 19

Cell and atoms:
```
PrDyGa4Ir2
1.0
4.217 0.000 0.000
0.000 7.133 0.000
-2.066 0.000 5.219
Pr Dy Ga Ir
1 1 4 2
Direct
0.000 0.000 0.000
0.861 0.500 0.722
0.284 0.201 0.564
0.284 0.799 0.564
0.579 0.307 0.163
0.579 0.693 0.163
0.141 0.500 0.288
0.721 0.000 0.436
```